[1]
Ho8Tm6Mg: computed powder diffraction line list (a wavelength of 1.5418 Å), based on a crystal structure in Alexandria, relaxed with GGA-PBE.

Main lines, sorted by position (2θ = 10–90°):
two_theta, I (rel.), index
11.17, 14.7, 1 0 0
19.41, 18.9, 1 1 0
26.26, 26.9, 2 0 1
29.39, 14.5, 1 0 2
29.85, 14.7, 1 2 0
32.87, 57.4, 1 2 1
33.55, 100.0, 2 -1 2
33.96, 56.7, 3 0 0
48.48, 12.1, 2 2 2
52.23, 18.3, 5 -2 1

Structure:
```
data_Ho8Tm6Mg
_cell_length_a 9.1446
_cell_length_b 9.1446
_cell_length_c 6.5828
_cell_angle_alpha 90.00
_cell_angle_beta 90.00
_cell_angle_gamma 120.00
_symmetry_space_group_name_H-M 'P -3'
_symmetry_Int_Tables_number 147
loop_
_symmetry_equiv_pos_as_xyz
'x,y,z'
'-x,-y,-z'
'-y,x-y,z'
'y,-x+y,-z'
'-x+y,-x,z'
'x-y,x,-z'
loop_
_atom_site_label
_atom_site_fract_x
_atom_site_fract_y
_atom_site_fract_z
_atom_site_occupancy
Ho1 0.0135 0.6880 0.1117 1
Ho2 0.3333 0.6667 0.8246 1
Tm1 0.0876 0.4094 0.3959 1
Mg1 0.0000 0.0000 0.5000 1
```

---

[2]
Nd4Sm4Tm: computed powder diffraction line list (a wavelength of 1.5418 Å), based on a crystal structure in Alexandria, relaxed with GGA-PBE.

Main lines, sorted by position (2θ = 10–90°):
two_theta, I (rel.), index
30.10, 100.0, 3 1 1
34.90, 50.7, 0 2 0
50.16, 30.3, 0 2 3
50.27, 6.0, 6 0 2
59.60, 28.8, 3 3 1
59.70, 14.3, 3 1 4
62.53, 6.2, 6 2 -4
62.63, 6.2, 6 2 2
81.56, 8.8, 3 3 -5
84.16, 11.0, 0 4 3

Structure:
```
data_Nd4Sm4Tm
_cell_length_a 15.4216
_cell_length_b 5.1476
_cell_length_c 8.1295
_cell_angle_alpha 90.00
_cell_angle_beta 108.55
_cell_angle_gamma 90.00
_symmetry_space_group_name_H-M 'C 1 2/m 1'
_symmetry_Int_Tables_number 12
loop_
_symmetry_equiv_pos_as_xyz
'x,y,z'
'-x,-y,-z'
'-x,y,-z'
'x,-y,z'
'x+1/2,y+1/2,z'
'-x+1/2,-y+1/2,-z'
'-x+1/2,y+1/2,-z'
'x+1/2,-y+1/2,z'
loop_
_atom_site_label
_atom_site_fract_x
_atom_site_fract_y
_atom_site_fract_z
_atom_site_occupancy
Nd1 0.1652 0.0000 0.0004 1
Nd2 0.2216 0.5000 0.3330 1
Sm1 0.0550 0.0000 0.3335 1
Sm2 0.1103 0.5000 0.6686 1
Tm1 0.0000 0.5000 0.0000 1
```

---

[3]
Ba3Bi2I2O5: computed powder diffraction line list (a wavelength of 1.5418 Å), based on a crystal structure in Alexandria, relaxed with GGA-PBE.

Main lines, sorted by position (2θ = 10–90°):
two_theta, I (rel.), index
27.11, 63.7, 1 1 0
29.32, 100.0, 1 0 7
38.72, 31.9, 2 0 0
49.29, 47.9, 2 1 7
53.30, 13.2, 1 1 14
55.91, 10.7, 2 2 0
60.81, 10.6, 2 0 14
63.22, 12.2, 3 1 0
64.38, 10.9, 3 0 7
77.72, 13.0, 3 2 7

Structure:
```
data_Ba3Bi2I2O5
_cell_length_a 4.6513
_cell_length_b 4.6513
_cell_length_c 28.2210
_cell_angle_alpha 90.00
_cell_angle_beta 90.00
_cell_angle_gamma 90.00
_symmetry_space_group_name_H-M 'I 4/m m m'
_symmetry_Int_Tables_number 139
_symmetry_space_group_name_Hall '-I 4 2'
loop_
_atom_site_label
_atom_site_fract_x
_atom_site_fract_y
_atom_site_fract_z
_atom_site_occupancy
Ba1 0.0000 0.0000 0.0000 1
Ba2 0.0000 0.0000 0.1407 1
Bi1 0.0000 0.0000 0.4231 1
I1 0.0000 0.0000 0.2994 1
O1 0.0000 0.0000 0.5000 1
O2 0.0000 0.5000 0.0810 1
```

---

[4]
Hf2Zr2Bi: computed powder diffraction line list (a wavelength of 1.5418 Å), based on a crystal structure in Alexandria, relaxed with GGA-PBE.

Main lines, sorted by position (2θ = 10–90°):
two_theta, I (rel.), index
22.92, 4.2, 1 1 0
34.37, 100.0, 3 1 1
38.04, 38.8, 2 0 4
43.40, 13.5, 0 2 0
54.89, 12.2, 2 0 -6
59.06, 21.7, 2 2 4
66.37, 20.7, 1 1 7
66.43, 6.8, 5 1 5
72.44, 10.7, 2 2 -6
73.83, 11.4, 3 3 1

Structure:
```
data_Hf2Zr2Bi
_cell_length_a 10.5818
_cell_length_b 4.1696
_cell_length_c 10.5771
_cell_angle_alpha 90.00
_cell_angle_beta 90.09
_cell_angle_gamma 90.00
_symmetry_space_group_name_H-M 'C 1 2/m 1'
_symmetry_Int_Tables_number 12
loop_
_symmetry_equiv_pos_as_xyz
'x,y,z'
'-x,-y,-z'
'-x,y,-z'
'x,-y,z'
'x+1/2,y+1/2,z'
'-x+1/2,-y+1/2,-z'
'-x+1/2,y+1/2,-z'
'x+1/2,-y+1/2,z'
loop_
_atom_site_label
_atom_site_fract_x
_atom_site_fract_y
_atom_site_fract_z
_atom_site_occupancy
Hf1 0.0354 0.0000 0.3582 1
Hf2 0.1430 0.0000 0.0381 1
Zr1 0.0481 0.5000 0.8450 1
Zr2 0.1530 0.5000 0.5443 1
Bi1 0.2443 0.5000 0.2491 1
```